This entry pairs a crystal structure of LaTlPb2Se4 with its theoretical X-ray diffraction stick pattern. Radiation: Cu Kα, 1.54184 Å. Structure: a cell relaxed with GGA-PBE.
Intensities are scaled so that the largest is 100.

Cell and atoms:
```
LaTlPb2Se4
1.0
7.5994 0.0000 0.0000
0.0000 4.4271 0.0000
-2.4747 0.0000 7.3014
La Tl Pb Se
1 1 2 4
Direct
0.0000 0.0000 0.0000
0.0000 0.5000 0.5000
0.5000 0.0000 0.5000
0.5000 0.5000 0.0000
0.2447 0.5000 0.2353
0.2536 0.0000 0.7692
0.7464 0.0000 0.2308
0.7553 0.5000 0.7647
```

Largest 6 diffraction maxima, by angle, 2θ = 5–70°:
| d_spacing | 2theta | I (rel.) |
| --- | --- | --- |
| 3.604 | 24.7 | 33.2 |
| 3.142 | 28.4 | 100.0 |
| 3.110 | 28.7 | 48.6 |
| 2.222 | 40.6 | 37.8 |
| 2.199 | 41.1 | 37.6 |
| 1.803 | 50.6 | 20.4 |

***

This entry pairs a crystal structure of CeDy10Y4 with its theoretical X-ray diffraction stick pattern. Radiation: Cu Kα, 1.54184 Å. Structure: a cell relaxed with GGA-PBE.
Intensities are scaled so that the largest is 100.

Cell and atoms:
```
CeDy10Y4
1.0
-4.8321 4.8321 5.2747
4.8321 -4.8321 5.2747
4.8321 4.8321 -5.2747
Ce Dy Y
1 10 4
Direct
0.0000 0.0000 0.0000
0.1287 0.2275 0.6728
0.2275 0.5547 0.0988
0.2500 0.7500 0.5000
0.4453 0.5441 0.6728
0.4559 0.1287 0.9012
0.5441 0.8713 0.0988
0.5547 0.4559 0.3272
0.7500 0.2500 0.5000
0.7725 0.4453 0.9012
0.8713 0.7725 0.3272
0.0656 0.6684 0.7340
0.3316 0.0656 0.3972
0.6684 0.9344 0.6028
0.9344 0.3316 0.2660
```

Largest 6 diffraction maxima, by angle, 2θ = 5–70°:
| d_spacing | 2theta | I (rel.) |
| --- | --- | --- |
| 3.304 | 27.0 | 73.2 |
| 3.081 | 29.0 | 55.2 |
| 3.056 | 29.2 | 100.0 |
| 2.728 | 32.8 | 66.7 |
| 2.644 | 33.9 | 69.7 |
| 2.161 | 41.8 | 36.4 |

***

This entry pairs a crystal structure of La12Nd5Ho with its theoretical X-ray diffraction stick pattern. Radiation: Cu Kα, 1.54184 Å. Structure: a cell relaxed with GGA-PBE.
Intensities are scaled so that the largest is 100.

Cell and atoms:
```
La12Nd5Ho
1.0
9.6271 -5.5432 0.0000
9.6271 5.5432 0.0000
-2.1195 0.0000 6.0693
La Nd Ho
12 5 1
Direct
0.0020 0.6656 0.1672
0.1644 0.5025 0.6672
0.1666 0.8334 0.0000
0.3292 0.6708 0.5000
0.3344 0.9980 0.8328
0.4975 0.8356 0.3328
0.5025 0.1644 0.6672
0.6656 0.0020 0.1672
0.6708 0.3292 0.5000
0.8334 0.1666 0.0000
0.8356 0.4975 0.3328
0.9980 0.3344 0.8328
0.1660 0.1660 0.3346
0.3333 0.3333 0.1677
0.5000 0.5000 0.0000
0.6667 0.6667 0.8323
0.8340 0.8340 0.6654
0.0000 0.0000 0.5000
```

Largest 6 diffraction maxima, by angle, 2θ = 5–70°:
| d_spacing | 2theta | I (rel.) |
| --- | --- | --- |
| 3.028 | 29.5 | 100.0 |
| 3.024 | 29.5 | 99.5 |
| 2.630 | 34.1 | 34.1 |
| 2.616 | 34.3 | 67.1 |
| 1.855 | 49.1 | 48.6 |
| 1.579 | 58.5 | 43.1 |

***

This entry pairs a crystal structure of PuAlB4 with its theoretical X-ray diffraction stick pattern. Radiation: Cu Kα, 1.54184 Å. Structure: a cell relaxed with GGA-PBE.
Intensities are scaled so that the largest is 100.

Cell and atoms:
```
PuAlB4
1.0
5.9461 0.0000 0.0000
0.0000 11.5284 0.0000
0.0000 0.0000 3.5869
Pu Al B
4 4 16
Direct
0.1302 0.1496 0.0000
0.3698 0.6496 0.0000
0.6302 0.3504 0.0000
0.8698 0.8504 0.0000
0.1386 0.4093 0.0000
0.3614 0.9093 0.0000
0.6386 0.0907 0.0000
0.8614 0.5907 0.0000
0.0267 0.6930 0.5000
0.1138 0.5467 0.5000
0.1330 0.9686 0.5000
0.2101 0.8121 0.5000
0.2899 0.3121 0.5000
0.3670 0.4686 0.5000
0.3862 0.0467 0.5000
0.4733 0.1930 0.5000
0.5267 0.8070 0.5000
0.6138 0.9533 0.5000
0.6330 0.5314 0.5000
0.7101 0.6879 0.5000
0.7899 0.1879 0.5000
0.8670 0.0314 0.5000
0.8862 0.4533 0.5000
0.9733 0.3070 0.5000
```

Largest 6 diffraction maxima, by angle, 2θ = 5–70°:
| d_spacing | 2theta | I (rel.) |
| --- | --- | --- |
| 4.139 | 21.5 | 67.0 |
| 3.587 | 24.8 | 62.9 |
| 2.880 | 31.1 | 81.3 |
| 2.711 | 33.0 | 53.5 |
| 2.399 | 37.5 | 42.1 |
| 2.246 | 40.2 | 100.0 |

***

This entry pairs a crystal structure of La8CuPt3I4 with its theoretical X-ray diffraction stick pattern. Radiation: Cu Kα, 1.54184 Å. Structure: a cell relaxed with GGA-PBE.
Intensities are scaled so that the largest is 100.

Cell and atoms:
```
La8CuPt3I4
1.0
7.5255 -4.3301 0.0000
7.5255 4.3301 0.0000
-5.0303 0.0000 8.2213
La Cu Pt I
8 1 3 4
Direct
0.2257 0.7318 0.6883
0.2306 0.2306 0.6906
0.2682 0.2682 0.3117
0.2682 0.7743 0.3117
0.7318 0.2257 0.6883
0.7318 0.7318 0.6883
0.7694 0.7694 0.3094
0.7743 0.2682 0.3117
0.5000 0.5000 0.5000
0.0000 0.0000 0.5000
0.0000 0.5000 0.5000
0.5000 0.0000 0.5000
0.0000 0.0000 0.0000
0.0000 0.5000 0.0000
0.5000 0.0000 0.0000
0.5000 0.5000 0.0000
```

Largest 6 diffraction maxima, by angle, 2θ = 5–70°:
| d_spacing | 2theta | I (rel.) |
| --- | --- | --- |
| 8.221 | 10.8 | 19.4 |
| 3.208 | 27.8 | 100.0 |
| 2.383 | 37.7 | 29.6 |
| 2.171 | 41.6 | 25.6 |
| 2.165 | 41.7 | 12.7 |
| 1.795 | 50.9 | 12.7 |

***

This entry pairs a crystal structure of Be6Ru with its theoretical X-ray diffraction stick pattern. Radiation: Cu Kα, 1.54184 Å. Structure: a cell relaxed with GGA-PBE.
Intensities are scaled so that the largest is 100.

Cell and atoms:
```
Be6Ru
1.0
6.8876 0.0000 0.0000
0.0000 4.2099 0.0000
0.0000 0.0000 8.2619
Be Ru
24 4
Direct
0.0464 0.2500 0.0828
0.0590 0.5048 0.3054
0.0590 0.9952 0.3054
0.0975 0.7500 0.5187
0.1553 0.2500 0.8520
0.1976 0.7500 0.7521
0.3024 0.2500 0.2521
0.3447 0.7500 0.3520
0.4025 0.2500 0.0187
0.4410 0.0048 0.8054
0.4410 0.4952 0.8054
0.4536 0.7500 0.5828
0.5464 0.2500 0.4172
0.5590 0.5048 0.1946
0.5590 0.9952 0.1946
0.5975 0.7500 0.9813
0.6553 0.2500 0.6480
0.6976 0.7500 0.7479
0.8024 0.2500 0.2479
0.8447 0.7500 0.1480
0.9025 0.2500 0.4813
0.9410 0.0048 0.6946
0.9410 0.4952 0.6946
0.9536 0.7500 0.9172
0.2414 0.2500 0.5706
0.2586 0.7500 0.0706
0.7414 0.2500 0.9294
0.7586 0.7500 0.4294
```

Largest 6 diffraction maxima, by angle, 2θ = 5–70°:
| d_spacing | 2theta | I (rel.) |
| --- | --- | --- |
| 3.543 | 25.1 | 46.1 |
| 3.444 | 25.9 | 33.8 |
| 3.294 | 27.1 | 100.0 |
| 2.305 | 39.1 | 25.9 |
| 1.958 | 46.4 | 33.0 |
| 1.915 | 47.5 | 35.9 |

***

This entry pairs a crystal structure of BC5 with its theoretical X-ray diffraction stick pattern. Radiation: Cu Kα, 1.54184 Å. Structure: a cell relaxed with GGA-PBE.
Intensities are scaled so that the largest is 100.

Cell and atoms:
```
BC5
1.0
2.5568 0.0000 0.0000
-1.2784 2.2142 0.0000
0.0000 0.0000 12.7407
B C
2 10
Direct
0.3333 0.6667 0.3528
0.6667 0.3333 0.6472
0.0000 0.0000 0.1831
0.0000 0.0000 0.3021
0.0000 0.0000 0.6979
0.0000 0.0000 0.8169
0.3333 0.6667 0.4823
0.3333 0.6667 0.8582
0.3333 0.6667 0.9799
0.6667 0.3333 0.0201
0.6667 0.3333 0.1418
0.6667 0.3333 0.5177
```

Largest 6 diffraction maxima, by angle, 2θ = 5–70°:
| d_spacing | 2theta | I (rel.) |
| --- | --- | --- |
| 12.741 | 6.9 | 14.8 |
| 4.247 | 20.9 | 2.0 |
| 3.185 | 28.0 | 1.2 |
| 2.123 | 42.6 | 31.1 |
| 2.091 | 43.3 | 100.0 |
| 1.820 | 50.1 | 0.6 |

***

This entry pairs a crystal structure of TiCuSbTe2 with its theoretical X-ray diffraction stick pattern. Radiation: Cu Kα, 1.54184 Å. Structure: a cell relaxed with GGA-PBE.
Intensities are scaled so that the largest is 100.

Cell and atoms:
```
TiCuSbTe2
1.0
5.2736 0.0000 0.0000
0.0000 5.2736 0.0000
0.0000 0.0000 5.2833
Ti Cu Sb Te
1 1 1 2
Direct
0.0000 0.0000 0.0000
0.5000 0.5000 0.5000
0.0000 0.0000 0.5000
0.0000 0.5000 0.0000
0.5000 0.0000 0.0000
```

Largest 6 diffraction maxima, by angle, 2θ = 5–70°:
| d_spacing | 2theta | I (rel.) |
| --- | --- | --- |
| 5.277 | 16.8 | 20.5 |
| 3.047 | 29.3 | 100.0 |
| 2.638 | 34.0 | 78.5 |
| 1.866 | 48.8 | 55.2 |
| 1.591 | 58.0 | 43.1 |
| 1.523 | 60.8 | 18.6 |

***

This entry pairs a crystal structure of RbBi2Te2 with its theoretical X-ray diffraction stick pattern. Radiation: Cu Kα, 1.54184 Å. Structure: a cell relaxed with GGA-PBE.
Intensities are scaled so that the largest is 100.

Cell and atoms:
```
RbBi2Te2
1.0
9.5703 0.0000 0.0000
0.0000 7.1369 0.0000
-3.6382 0.0000 6.2185
Rb Bi Te
2 4 4
Direct
0.0000 0.0000 0.0000
0.5000 0.5000 0.0000
0.0000 0.2599 0.5000
0.0000 0.7401 0.5000
0.5000 0.2401 0.5000
0.5000 0.7599 0.5000
0.1910 0.5000 0.3192
0.3090 0.0000 0.6808
0.6910 0.0000 0.3192
0.8090 0.5000 0.6808
```

Largest 6 diffraction maxima, by angle, 2θ = 5–70°:
| d_spacing | 2theta | I (rel.) |
| --- | --- | --- |
| 6.218 | 14.2 | 97.5 |
| 3.540 | 25.2 | 38.1 |
| 3.462 | 25.7 | 32.7 |
| 2.843 | 31.5 | 100.0 |
| 2.700 | 33.2 | 40.7 |
| 2.345 | 38.4 | 38.0 |

***

This entry pairs a crystal structure of La4TmGa2 with its theoretical X-ray diffraction stick pattern. Radiation: Cu Kα, 1.54184 Å. Structure: a cell relaxed with GGA-PBE.
Intensities are scaled so that the largest is 100.

Cell and atoms:
```
La4TmGa2
1.0
7.1986 0.0000 0.0000
3.1979 6.7298 0.0000
0.0999 3.3301 8.9893
La Tm Ga
8 2 4
Direct
0.0000 0.0000 0.0000
0.0012 0.4322 0.5456
0.0110 0.9929 0.4007
0.4240 0.1502 0.8829
0.4686 0.1072 0.4482
0.4823 0.5308 0.5773
0.5086 0.4724 0.0695
0.7017 0.6636 0.7992
0.0454 0.4463 0.1177
0.5904 0.8096 0.2276
0.1420 0.6354 0.7955
0.2210 0.6092 0.2899
0.2349 0.9465 0.7128
0.8187 0.0544 0.6864
```

Largest 6 diffraction maxima, by angle, 2θ = 5–70°:
| d_spacing | 2theta | I (rel.) |
| --- | --- | --- |
| 3.177 | 28.1 | 67.0 |
| 3.150 | 28.3 | 100.0 |
| 3.034 | 29.4 | 44.3 |
| 2.819 | 31.7 | 48.5 |
| 2.762 | 32.4 | 65.5 |
| 2.396 | 37.5 | 49.5 |

***

This entry pairs a crystal structure of ErMn6Ga6 with its theoretical X-ray diffraction stick pattern. Radiation: Cu Kα, 1.54184 Å. Structure: a cell relaxed with GGA-PBE.
Intensities are scaled so that the largest is 100.

Cell and atoms:
```
ErMn6Ga6
1.0
0.0000 6.2334 6.3640
2.4154 0.0000 6.3640
2.4154 6.2334 0.0000
Er Mn Ga
1 6 6
Direct
0.0000 0.0000 0.0000
0.0000 0.0000 0.5000
0.0032 0.6476 0.3524
0.3524 0.9968 0.0032
0.5000 0.5000 0.0000
0.6476 0.0032 0.9968
0.9968 0.3524 0.6476
0.0000 0.5000 0.0000
0.2576 0.5102 0.4898
0.4898 0.7424 0.2576
0.5000 0.0000 0.5000
0.5102 0.2576 0.7424
0.7424 0.4898 0.5102
```

Largest 6 diffraction maxima, by angle, 2θ = 5–70°:
| d_spacing | 2theta | I (rel.) |
| --- | --- | --- |
| 3.058 | 29.2 | 45.3 |
| 2.529 | 35.5 | 36.7 |
| 2.227 | 40.5 | 100.0 |
| 2.216 | 40.7 | 63.9 |
| 2.183 | 41.4 | 54.8 |
| 2.123 | 42.6 | 87.6 |

***

This entry pairs a crystal structure of Pa2ReGeN6 with its theoretical X-ray diffraction stick pattern. Radiation: Cu Kα, 1.54184 Å. Structure: a cell relaxed with GGA-PBE.
Intensities are scaled so that the largest is 100.

Cell and atoms:
```
Pa2ReGeN6
1.0
5.3228 0.0000 0.0000
0.0000 5.3228 0.0000
0.0000 0.0000 4.8083
Pa Re Ge N
2 1 1 6
Direct
0.0000 0.5000 0.0000
0.5000 0.0000 0.0000
0.0000 0.0000 0.5875
0.5000 0.5000 0.5792
0.0000 0.0000 0.2077
0.2517 0.2517 0.7396
0.2517 0.7483 0.7396
0.5000 0.5000 0.1989
0.7483 0.2517 0.7396
0.7483 0.7483 0.7396
```

Largest 6 diffraction maxima, by angle, 2θ = 5–70°:
| d_spacing | 2theta | I (rel.) |
| --- | --- | --- |
| 4.808 | 18.5 | 14.5 |
| 2.964 | 30.2 | 100.0 |
| 2.661 | 33.7 | 38.5 |
| 1.882 | 48.4 | 18.5 |
| 1.784 | 51.2 | 21.5 |
| 1.589 | 58.1 | 32.7 |